Record 1
Structure and theoretical powder diffraction line list of SiNi2Ru (a DFT-relaxed cell (GGA-PBE, Alexandria); Cu Kα).

Structural model:
```
SiNi2Ru
1.0
2.796 0.000 0.000
0.000 4.084 0.000
0.000 0.000 8.308
Si Ni Ru
2 4 2
Cartesian
0.000 0.000 0.000 Si
1.398 2.042 4.154 Si
0.000 2.042 2.265 Ni
0.000 2.042 6.043 Ni
1.398 0.000 1.889 Ni
1.398 0.000 6.419 Ni
0.000 0.000 4.154 Ru
1.398 2.042 0.000 Ru
```

Main lines, sorted by position (2θ = 10–90°):
two_theta  I/Imax
33.8  14.8
39.3  18.7
43.6  24.3
44.4  27.1
44.9  100.0
82.1  15.9

***

Record 2
Structure and theoretical powder diffraction line list of TlTcSe2 (a DFT-relaxed cell (GGA-PBE, Alexandria); Cu Kα).

Structural model:
```
TlTcSe2
1.0
3.296 0.000 0.000
-1.648 2.854 0.000
0.000 0.000 9.735
Tl Tc Se
1 1 2
Cartesian
0.000 0.000 0.000 Tl
1.648 0.951 5.028 Tc
0.000 0.000 3.364 Se
0.000 1.903 6.781 Se
```

Main lines, sorted by position (2θ = 10–90°):
two_theta  I/Imax
18.2  44.5
31.3  30.1
32.7  100.0
36.5  61.9
42.2  81.6
55.8  34.6

***

Record 3
Structure and theoretical powder diffraction line list of Hg3Cl5 (a DFT-relaxed cell (GGA-PBE, Alexandria); Cu Kα).

Structural model:
```
Hg3Cl5
1.0
6.958 0.000 0.000
-0.329 7.602 0.000
-0.991 -2.133 10.179
Hg Cl
6 10
Cartesian
0.000 0.000 0.000 Hg
-0.650 2.741 5.085 Hg
2.535 5.388 4.501 Hg
2.151 3.372 9.126 Hg
3.492 2.100 1.055 Hg
3.130 0.096 5.683 Hg
0.001 0.587 5.700 Cl
0.448 4.284 7.784 Cl
0.814 0.611 9.719 Cl
1.429 6.968 1.414 Cl
2.021 3.283 3.438 Cl
3.640 2.201 6.747 Cl
4.209 -1.493 8.766 Cl
4.832 4.866 0.460 Cl
5.190 1.185 2.400 Cl
5.659 4.896 4.470 Cl
```

Main lines, sorted by position (2θ = 10–90°):
two_theta  I/Imax
17.4  100.0
19.0  63.6
19.6  77.8
25.8  55.3
28.0  46.3
29.7  60.4

***

Record 4
Structure and theoretical powder diffraction line list of HfTlTeO5 (a DFT-relaxed cell (GGA-PBE, Alexandria); Cu Kα).

Structural model:
```
HfTlTeO5
1.0
3.816 -4.984 0.000
3.816 4.984 0.000
-3.190 0.000 7.173
Hf Tl Te O
2 2 2 10
Cartesian
0.000 0.000 0.000 Hf
-1.595 0.000 3.587 Hf
1.424 1.857 5.380 Tl
3.019 -1.857 1.793 Tl
3.019 1.825 1.793 Te
1.424 -1.825 5.380 Te
1.424 4.432 5.380 O
1.863 3.014 2.804 O
1.899 0.773 0.584 O
4.175 3.014 0.782 O
0.305 -0.773 4.170 O
4.139 0.773 3.003 O
0.268 -3.014 6.391 O
2.544 -0.773 6.590 O
2.580 -3.014 4.369 O
3.019 -4.432 1.793 O
```

Main lines, sorted by position (2θ = 10–90°):
two_theta  I/Imax
24.5  77.0
25.5  85.3
29.8  100.0
30.7  65.0
32.9  41.9
51.5  38.3